For YHoMo2C3, DFT lattice parameters and positions (PBE) gives the simulated powder XRD pattern in this record (a wavelength of 1.5418 Å).
No peak broadening, texture or thermal motion is included.

The 10 most intense peaks (2θ from 10° to 90°), sorted by position:
- d = 5.403 Å, 16.41 deg, intensity 20, hkl 2 0 0
- d = 2.787 Å, 32.11 deg, intensity 45, hkl 2 0 -2
- d = 2.695 Å, 33.24 deg, intensity 41, hkl 4 0 0
- d = 2.670 Å, 33.56 deg, intensity 100, hkl 1 1 1
- d = 2.447 Å, 36.73 deg, intensity 85, hkl 3 1 -1
- d = 2.167 Å, 41.68 deg, intensity 29, hkl 2 0 2
- d = 1.695 Å, 54.12 deg, intensity 16, hkl 0 2 0
- d = 1.642 Å, 56.01 deg, intensity 16, hkl 1 1 -3
- d = 1.448 Å, 64.35 deg, intensity 15, hkl 2 2 -2
- d = 1.435 Å, 64.99 deg, intensity 15, hkl 4 2 0

Crystal structure
```
14
Lattice="11.329 0.000 0.000 0.000 3.389 0.000 -1.747 0.000 5.416" Properties=species:S:1:pos:R:3 pbc="T T T"
Y 0.000 0.000 0.000
Y 5.664 1.695 0.000
Ho 2.462 1.695 1.938
Ho 8.126 0.000 1.938
Mo -0.553 1.695 2.992
Mo 1.273 0.000 4.355
Mo 5.111 0.000 2.992
Mo 6.937 1.695 4.355
C 0.548 0.000 2.364
C 0.188 1.695 4.989
C 3.190 0.000 3.663
C 6.212 1.695 2.364
C 5.852 0.000 4.989
C 8.855 1.695 3.663
```